No. 1
The following is a calculated PXRD pattern of Zr5Cd4Hg2. It was derived from DFT lattice parameters and positions (GGA-PBE), using Cu Kα (weighted mean of Kα1 and Kα2).
No peak broadening, texture or thermal motion is included.

Atomic structure:
Cell: 7.964 18.509 3.291 Å, 90.00 90.00 90.00°
Space group Pbam (No. 55)
Unique sites:
Zr 0.000 0.000 0.000 (multiplicity 2)
Zr 0.136 0.434 0.000 (multiplicity 4)
Zr 0.235 0.209 0.000 (multiplicity 4)
Cd 0.077 0.854 0.500 (multiplicity 4)
Cd 0.211 0.569 0.500 (multiplicity 4)
Hg 0.039 0.308 0.500 (multiplicity 4)

Principal peaks in the range 2θ from 5° to 70°, by angle:
2θ (°)  Rel. int.  hkl
35.17  46.6  3 2 0
35.32  100.0  1 4 1
35.78  44.8  1 7 0
36.73  75.7  2 2 1
36.86  46.5  2 6 0
38.32  71.5  1 5 1

No. 2
The following is a calculated PXRD pattern of Ac3Ga9Tc2. It was derived from DFT lattice parameters and positions (GGA-PBE), using Cu Kα (weighted mean of Kα1 and Kα2).
No peak broadening, texture or thermal motion is included.

Atomic structure:
Cell: 4.462 9.967 13.302 Å, 90.00 90.00 90.00°
Space group Immm (No. 71)
Unique sites:
Ac 0.000 0.000 0.000 (multiplicity 2)
Ac 0.000 0.000 0.301 (multiplicity 4)
Ga 0.000 0.286 0.121 (multiplicity 8)
Ga 0.000 0.351 0.346 (multiplicity 8)
Ga 0.000 0.500 0.000 (multiplicity 2)
Tc 0.000 0.184 0.500 (multiplicity 4)

Principal peaks in the range 2θ from 5° to 70°, by angle:
2θ (°)  Rel. int.  hkl
21.82  17.6  1 1 0
28.38  15.2  1 0 3
32.37  13.9  0 2 4
33.69  100.0  1 2 3
34.84  21.3  1 1 4
40.43  23.5  2 0 0

No. 3
The following is a calculated PXRD pattern of Dy2YPd4. It was derived from DFT lattice parameters and positions (GGA-PBE), using Cu Kα (weighted mean of Kα1 and Kα2).
No peak broadening, texture or thermal motion is included.

Atomic structure:
Cell: 8.619 7.229 5.228 Å, 90.00 109.93 90.00°
Space group C2/m (No. 12)
Unique sites:
Dy 0.164 0.000 0.355 (multiplicity 4)
Y 0.000 0.500 0.000 (multiplicity 2)
Pd 0.000 0.301 0.500 (multiplicity 4)
Pd 0.250 0.250 0.000 (multiplicity 4)

Principal peaks in the range 2θ from 5° to 70°, by angle:
2θ (°)  Rel. int.  hkl
27.18  32.8  1 1 1
34.10  100.0  2 2 -1
35.48  32.4  3 1 0
36.58  41.1  1 1 -2
44.96  24.9  1 3 1
47.45  21.1  4 0 -2

No. 4
The following is a calculated PXRD pattern of Mg2HgPd4. It was derived from DFT lattice parameters and positions (GGA-PBE), using Cu Kα (weighted mean of Kα1 and Kα2).
No peak broadening, texture or thermal motion is included.

Atomic structure:
Cell: 4.875 5.539 9.248 Å, 90.00 105.12 90.00°
Space group P2_1/m (No. 11)
Unique sites:
Mg 0.068 0.250 0.009 (multiplicity 2)
Mg 0.380 0.750 0.568 (multiplicity 2)
Hg 0.452 0.250 0.829 (multiplicity 2)
Pd 0.131 0.501 0.272 (multiplicity 4)
Pd 0.161 0.250 0.537 (multiplicity 2)
Pd 0.380 0.750 0.856 (multiplicity 2)

Principal peaks in the range 2θ from 5° to 70°, by angle:
2θ (°)  Rel. int.  hkl
18.87  43.0  1 0 -1
36.88  48.4  2 0 -1
37.69  100.0  1 2 -1
39.89  90.3  1 0 -4
44.70  40.2  0 2 3
45.41  42.4  1 2 2

No. 5
The following is a calculated PXRD pattern of BaNaTe2Au. It was derived from DFT lattice parameters and positions (GGA-PBE), using Cu Kα (weighted mean of Kα1 and Kα2).
No peak broadening, texture or thermal motion is included.

Atomic structure:
Cell: 6.726 16.086 6.139 Å, 90.00 90.00 90.00°
Space group Cmme (No. 67)
Unique sites:
Ba 0.000 0.250 0.241 (multiplicity 4)
Na 0.250 0.000 0.500 (multiplicity 4)
Te 0.000 0.135 0.755 (multiplicity 8)
Au 0.000 0.000 0.000 (multiplicity 4)

Principal peaks in the range 2θ from 5° to 70°, by angle:
2θ (°)  Rel. int.  hkl
14.43  38.3  0 0 1
25.73  86.9  1 3 1
26.50  100.0  2 0 0
31.19  53.5  0 2 2
34.17  70.4  1 5 1
41.38  37.9  2 2 2

No. 6
The following is a calculated PXRD pattern of KBi2HAu. It was derived from DFT lattice parameters and positions (GGA-PBE), using Cu Kα (weighted mean of Kα1 and Kα2).
No peak broadening, texture or thermal motion is included.

Atomic structure:
Cell: 5.179 5.179 4.314 Å, 90.00 90.00 90.00°
Space group P4/mmm (No. 123)
Unique sites:
K 0.000 0.000 0.000 (multiplicity 1)
Bi 0.000 0.500 0.500 (multiplicity 2)
H 0.500 0.500 0.500 (multiplicity 1)
Au 0.500 0.500 0.000 (multiplicity 1)

Principal peaks in the range 2θ from 5° to 70°, by angle:
2θ (°)  Rel. int.  hkl
17.12  12.8  1 0 0
32.06  100.0  1 1 1
34.64  41.2  2 0 0
49.80  14.9  2 2 0
55.44  21.8  2 0 2
60.47  33.5  3 1 1

No. 7
The following is a calculated PXRD pattern of BiHPb. It was derived from DFT lattice parameters and positions (GGA-PBE), using Cu Kα (weighted mean of Kα1 and Kα2).
No peak broadening, texture or thermal motion is included.

Atomic structure:
Cell: 4.805 4.943 7.176 Å, 106.82 106.38 98.01°
Space group P-1 (No. 2)
Unique sites:
Bi 0.101 0.199 0.390 (multiplicity 2)
H 0.465 0.336 0.635 (multiplicity 2)
Pb 0.324 0.752 0.075 (multiplicity 2)

Principal peaks in the range 2θ from 5° to 70°, by angle:
2θ (°)  Rel. int.  hkl
27.73  24.5  0 1 -2
27.89  100.0  -1 1 1
39.25  23.5  0 2 0
39.84  16.0  1 0 -3
40.37  11.4  2 -1 0
40.49  11.8  2 0 -2

No. 8
The following is a calculated PXRD pattern of Ni2OsRh. It was derived from DFT lattice parameters and positions (GGA-PBE), using Cu Kα (weighted mean of Kα1 and Kα2).
No peak broadening, texture or thermal motion is included.

Atomic structure:
Cell: 2.665 3.710 5.138 Å, 90.00 90.02 90.00°
Space group Pm (No. 6)
Unique sites:
Ni 0.000 0.000 0.000 (multiplicity 1)
Ni 0.498 0.500 0.235 (multiplicity 1)
Os 0.999 0.000 0.484 (multiplicity 1)
Rh 0.500 0.500 0.737 (multiplicity 1)

Principal peaks in the range 2θ from 5° to 70°, by angle:
2θ (°)  Rel. int.  hkl
17.26  38.9  0 0 1
29.70  24.0  0 1 1
41.73  100.0  1 1 0
42.82  92.4  0 1 2
49.11  31.0  0 2 0
49.27  61.0  1 0 2

No. 9
The following is a calculated PXRD pattern of Ag2Pt. It was derived from DFT lattice parameters and positions (GGA-PBE), using Cu Kα (weighted mean of Kα1 and Kα2).
No peak broadening, texture or thermal motion is included.

Atomic structure:
Cell: 9.567 8.736 4.967 Å, 90.00 101.37 90.00°
Space group C2/c (No. 15)
Unique sites:
Ag 0.000 0.087 0.250 (multiplicity 4)
Ag 0.000 0.254 0.750 (multiplicity 4)
Ag 0.249 0.418 0.006 (multiplicity 8)
Pt 0.000 0.414 0.250 (multiplicity 4)
Pt 0.250 0.250 0.500 (multiplicity 4)

Principal peaks in the range 2θ from 5° to 70°, by angle:
2θ (°)  Rel. int.  hkl
38.18  100.0  1 3 1
38.39  32.9  4 0 0
44.04  44.2  3 3 -1
45.22  20.5  2 0 2
64.79  13.6  1 3 -3
65.13  13.5  5 3 1

No. 10
The following is a calculated PXRD pattern of B7C3. It was derived from DFT lattice parameters and positions (GGA-PBE), using Cu Kα (weighted mean of Kα1 and Kα2).
No peak broadening, texture or thermal motion is included.

Atomic structure:
Cell: 2.645 13.727 4.278 Å, 90.00 90.00 90.00°
Space group Imm2 (No. 44)
Unique sites:
B 0.000 0.000 0.000 (multiplicity 2)
B 0.000 0.071 0.330 (multiplicity 4)
B 0.000 0.232 0.941 (multiplicity 4)
B 0.000 0.396 0.090 (multiplicity 4)
C 0.000 0.291 0.256 (multiplicity 4)
C 0.000 0.500 0.303 (multiplicity 2)

Principal peaks in the range 2θ from 5° to 70°, by angle:
2θ (°)  Rel. int.  hkl
21.76  32.4  0 1 1
25.96  55.0  0 4 0
28.56  30.6  0 3 1
38.98  100.0  0 5 1
40.08  99.5  1 0 1
65.63  39.3  1 5 2

No. 11
The following is a calculated PXRD pattern of Na4Y3Te8Pb. It was derived from DFT lattice parameters and positions (GGA-PBE), using Cu Kα (weighted mean of Kα1 and Kα2).
No peak broadening, texture or thermal motion is included.

Atomic structure:
Cell: 8.9132 8.9132 22.7641 Å, 90.00 90.00 120.00°
Space group R-3m (No. 166, hexagonal axes)
Unique sites:
Na 0.0000 0.0000 0.0000 (multiplicity 3)
Na 0.0000 0.5000 0.0000 (multiplicity 9)
Y 0.0000 0.5000 0.5000 (multiplicity 9)
Te 0.0000 0.0000 0.2441 (multiplicity 6)
Te 0.0090 0.5045 0.7552 (multiplicity 18)
Pb 0.0000 0.0000 0.5000 (multiplicity 3)

Principal peaks in the range 2θ from 5° to 70°, by angle:
2θ (°)  Rel. int.  hkl
11.66  23.6  0 0 3
27.93  100.0  0 2 4
39.34  38.3  2 0 8
40.48  36.8  2 2 0
49.90  19.7  4 0 4
66.14  18.4  2 4 4

No. 12
The following is a calculated PXRD pattern of Ho4SnTe4. It was derived from DFT lattice parameters and positions (GGA-PBE), using Cu Kα (weighted mean of Kα1 and Kα2).
No peak broadening, texture or thermal motion is included.

Atomic structure:
Cell: 14.568 4.335 10.736 Å, 90.00 120.20 90.00°
Space group C2/m (No. 12)
Unique sites:
Ho 0.096 0.000 0.400 (multiplicity 4)
Ho 0.198 0.500 0.801 (multiplicity 4)
Sn 0.000 0.500 0.500 (multiplicity 2)
Te 0.102 0.000 0.902 (multiplicity 4)
Te 0.197 0.500 0.298 (multiplicity 4)

Principal peaks in the range 2θ from 5° to 70°, by angle:
2θ (°)  Rel. int.  hkl
28.90  100.0  3 1 -2
29.09  48.8  2 0 2
41.47  74.8  1 1 -4
51.05  20.3  4 0 -6
51.62  19.9  2 2 2
68.26  25.8  1 1 6

No. 13
The following is a calculated PXRD pattern of Na2ZrV2. It was derived from DFT lattice parameters and positions (GGA-PBE), using Cu Kα (weighted mean of Kα1 and Kα2).
No peak broadening, texture or thermal motion is included.

Atomic structure:
Cell: 3.174 3.174 23.856 Å, 90.00 90.00 90.00°
Space group I4/mmm (No. 139)
Unique sites:
Na 0.000 0.000 0.125 (multiplicity 4)
Zr 0.000 0.000 0.500 (multiplicity 2)
V 0.000 0.500 0.250 (multiplicity 4)

Principal peaks in the range 2θ from 5° to 70°, by angle:
2θ (°)  Rel. int.  hkl
14.85  100.0  0 0 4
29.96  49.0  0 0 8
30.32  52.5  1 0 3
33.92  38.3  1 0 5
40.92  51.2  1 1 2
46.46  35.0  1 1 6

No. 14
The following is a calculated PXRD pattern of TiNb2Co3. It was derived from DFT lattice parameters and positions (GGA-PBE), using Cu Kα (weighted mean of Kα1 and Kα2).
No peak broadening, texture or thermal motion is included.

Atomic structure:
Cell: 4.155 16.768 5.000 Å, 90.00 90.00 90.00°
Space group Cmcm (No. 63)
Unique sites:
Ti 0.000 0.185 0.250 (multiplicity 4)
Nb 0.000 0.358 0.250 (multiplicity 4)
Nb 0.000 0.459 0.750 (multiplicity 4)
Co 0.000 0.071 0.525 (multiplicity 8)
Co 0.000 0.227 0.750 (multiplicity 4)

Principal peaks in the range 2θ from 5° to 70°, by angle:
2θ (°)  Rel. int.  hkl
10.55  18.5  0 2 0
36.84  17.3  0 6 1
38.93  100.0  1 5 1
42.54  57.3  1 1 2
43.58  78.9  2 0 0
66.54  21.4  1 5 3